1.
Tb6CO12: computed powder X-ray diffraction pattern (Cu Kα, 1.54184 Å), based on a cell relaxed with PBE.

```
data_Tb6CO12
_space_group_name_H-M_alt 'P 1'
_space_group_IT_number 1
_cell_length_a 6.3977
_cell_length_b 6.3977
_cell_length_c 6.3977
_cell_angle_alpha 98.83
_cell_angle_beta 98.83
_cell_angle_gamma 98.83
loop_
_space_group_symop_operation_xyz
'x,y,z'
loop_
_atom_site_label
_atom_site_type_symbol
_atom_site_fract_x
_atom_site_fract_y
_atom_site_fract_z
_atom_site_occupancy
Tb1 Tb 0.1056 0.8021 0.6429 1
Tb2 Tb 0.1979 0.3571 0.8944 1
Tb3 Tb 0.3571 0.8944 0.1979 1
Tb4 Tb 0.6429 0.1056 0.8021 1
Tb5 Tb 0.8021 0.6429 0.1056 1
Tb6 Tb 0.8944 0.1979 0.3571 1
C1 C 0.5000 0.5000 0.5000 1
O1 O 0.0582 0.9027 0.3234 1
O2 O 0.0973 0.6766 0.9418 1
O3 O 0.2379 0.4368 0.5229 1
O4 O 0.3234 0.0582 0.9027 1
O5 O 0.4368 0.5229 0.2379 1
O6 O 0.4771 0.7621 0.5632 1
O7 O 0.5229 0.2379 0.4368 1
O8 O 0.5632 0.4771 0.7621 1
O9 O 0.6766 0.9418 0.0973 1
O10 O 0.7621 0.5632 0.4771 1
O11 O 0.9027 0.3234 0.0582 1
O12 O 0.9418 0.0973 0.6766 1
```

Main lines, by angle (2θ = 10–90°):
2θ (°), intensity
18.3, 16
29.0, 32
29.7, 100
34.2, 48
34.5, 10
48.8, 27
49.6, 27
57.8, 13
58.5, 25
58.9, 11

2.
Hf4Re2Os: computed powder X-ray diffraction pattern (Cu Kα, 1.54184 Å), based on a cell relaxed with PBE.

```
data_Hf4Re2Os
_space_group_name_H-M_alt 'P 1'
_space_group_IT_number 1
_cell_length_a 5.6133
_cell_length_b 5.6133
_cell_length_c 5.6133
_cell_angle_alpha 109.51
_cell_angle_beta 109.51
_cell_angle_gamma 109.40
loop_
_space_group_symop_operation_xyz
'x,y,z'
loop_
_atom_site_label
_atom_site_type_symbol
_atom_site_fract_x
_atom_site_fract_y
_atom_site_fract_z
_atom_site_occupancy
Hf1 Hf 0.0000 0.0000 0.5000 1
Hf2 Hf 0.0000 0.5000 0.0000 1
Hf3 Hf 0.5000 0.0000 0.0000 1
Hf4 Hf 0.5000 0.5000 0.5000 1
Re1 Re 0.0000 0.5000 0.5000 1
Re2 Re 0.5000 0.0000 0.5000 1
Os1 Os 0.0000 0.0000 0.0000 1
```

Main lines, by angle (2θ = 10–90°):
2θ (°), intensity
19.4, 13
27.5, 2
33.9, 6
39.3, 100
44.2, 3
52.9, 4
56.8, 17
60.6, 2
71.3, 35
84.6, 11

3.
PaCuH6Ru: computed powder X-ray diffraction pattern (Cu Kα, 1.54184 Å), based on a cell relaxed with PBE.

```
data_PaCuH6Ru
_space_group_name_H-M_alt 'P 1'
_space_group_IT_number 1
_cell_length_a 4.5001
_cell_length_b 4.5001
_cell_length_c 4.2423
_cell_angle_alpha 90.00
_cell_angle_beta 90.00
_cell_angle_gamma 120.00
loop_
_space_group_symop_operation_xyz
'x,y,z'
loop_
_atom_site_label
_atom_site_type_symbol
_atom_site_fract_x
_atom_site_fract_y
_atom_site_fract_z
_atom_site_occupancy
Pa1 Pa 0.0000 0.0000 0.0000 1
Cu1 Cu 0.3333 0.6667 0.5000 1
H1 H 0.5023 0.0046 0.2198 1
H2 H 0.5023 0.0046 0.7802 1
H3 H 0.5023 0.4977 0.2198 1
H4 H 0.5023 0.4977 0.7802 1
H5 H 0.9954 0.4977 0.2198 1
H6 H 0.9954 0.4977 0.7802 1
Ru1 Ru 0.6667 0.3333 0.5000 1
```

Main lines, by angle (2θ = 10–90°):
2θ (°), intensity
22.8, 21
31.2, 100
40.1, 41
42.6, 11
51.6, 25
59.9, 25
67.3, 22
70.9, 10
72.8, 7
88.2, 9

4.
TbVTe: computed powder X-ray diffraction pattern (Cu Kα, 1.54184 Å), based on a cell relaxed with PBE.

```
data_TbVTe
_space_group_name_H-M_alt 'P 1'
_space_group_IT_number 1
_cell_length_a 4.1812
_cell_length_b 4.0258
_cell_length_c 7.7726
_cell_angle_alpha 90.00
_cell_angle_beta 91.64
_cell_angle_gamma 90.00
loop_
_space_group_symop_operation_xyz
'x,y,z'
loop_
_atom_site_label
_atom_site_type_symbol
_atom_site_fract_x
_atom_site_fract_y
_atom_site_fract_z
_atom_site_occupancy
Tb1 Tb 0.2427 0.2500 0.3502 1
Tb2 Tb 0.7573 0.7500 0.6498 1
V1 V 0.2128 0.7500 0.0021 1
V2 V 0.7872 0.2500 0.9979 1
Te1 Te 0.2675 0.2500 0.7657 1
Te2 Te 0.7325 0.7500 0.2343 1
```

Main lines, by angle (2θ = 10–90°):
2θ (°), intensity
30.8, 100
31.9, 33
32.0, 52
32.8, 35
38.4, 47
39.1, 48
41.5, 32
43.3, 38
45.0, 36
64.3, 40